1.
Calculated powder XRD pattern of Li2Hg9Pb for λ = 1.5418 Å (Cu Kα), from DFT lattice parameters and positions (PBE).
Lines closer than 0.1° are merged.

Cell and atoms:
```
data_Li2Hg9Pb
_cell_length_a 4.403
_cell_length_b 4.556
_cell_length_c 14.457
_cell_angle_alpha 90.00
_cell_angle_beta 90.00
_cell_angle_gamma 90.00
_space_group_name_H-M_alt 'P m m m'
_space_group_IT_number 47
loop_
_space_group_symop_operation_xyz
'x,y,z'
'-x,-y,-z'
'-x,-y,z'
'x,y,-z'
'x,-y,-z'
'-x,y,z'
'-x,y,-z'
'x,-y,z'
loop_
_atom_site_label
_atom_site_type_symbol
_atom_site_fract_x
_atom_site_fract_y
_atom_site_fract_z
_atom_site_occupancy
Li1 Li 0.000 0.000 0.156 1
Hg1 Hg 0.000 0.500 0.000 1
Hg2 Hg 0.000 0.500 0.318 1
Hg3 Hg 0.500 0.000 0.000 1
Hg4 Hg 0.500 0.000 0.314 1
Hg5 Hg 0.500 0.500 0.158 1
Hg6 Hg 0.500 0.500 0.500 1
Pb1 Pb 0.000 0.000 0.500 1
```

Principal peaks in the range 5 to 70 degrees two-theta, by angle:
30.9 deg, intensity 7.8, (0 0 5)
33.9 deg, intensity 100.0, (1 1 3)
37.3 deg, intensity 16.6, (0 0 6)
39.6 deg, intensity 17.4, (0 2 0)
41.0 deg, intensity 15.7, (2 0 0)
55.5 deg, intensity 10.8, (0 2 6)
56.6 deg, intensity 10.1, (2 0 6)
58.3 deg, intensity 11.4, (2 2 0)
65.1 deg, intensity 10.3, (1 1 9)
68.1 deg, intensity 13.7, (1 3 3)

2.
Calculated powder XRD pattern of Li2H6Os for λ = 1.5418 Å (Cu Kα), from DFT lattice parameters and positions (PBE).
Lines closer than 0.1° are merged.

Cell and atoms:
```
data_Li2H6Os
_cell_length_a 4.048
_cell_length_b 4.048
_cell_length_c 8.934
_cell_angle_alpha 90.00
_cell_angle_beta 90.00
_cell_angle_gamma 90.00
_space_group_name_H-M_alt 'P 42/m n m'
_space_group_IT_number 136
_space_group_name_Hall '-P 4n 2n'
loop_
_atom_site_label
_atom_site_type_symbol
_atom_site_fract_x
_atom_site_fract_y
_atom_site_fract_z
_atom_site_occupancy
Li1 Li 0.000 0.000 0.164 1
H1 H 0.175 0.175 0.345 1
H2 H 0.203 0.203 0.000 1
Os1 Os 0.000 0.000 0.500 1
```

Principal peaks in the range 5 to 70 degrees two-theta, by angle:
19.9 deg, intensity 39.9, (0 0 2)
24.1 deg, intensity 100.0, (1 0 1)
31.3 deg, intensity 31.2, (1 1 0)
37.3 deg, intensity 32.6, (1 1 2)
37.5 deg, intensity 36.6, (1 0 3)
44.8 deg, intensity 11.0, (2 0 0)
49.4 deg, intensity 14.7, (2 0 2)
51.5 deg, intensity 26.1, (2 1 1)
51.9 deg, intensity 12.7, (1 1 4)
59.8 deg, intensity 20.0, (2 1 3)

3.
Calculated powder XRD pattern of Tm2ThTl4 for λ = 1.5418 Å (Cu Kα), from DFT lattice parameters and positions (PBE).
Lines closer than 0.1° are merged.

Cell and atoms:
```
data_Tm2ThTl4
_cell_length_a 5.189
_cell_length_b 5.189
_cell_length_c 7.763
_cell_angle_alpha 90.00
_cell_angle_beta 90.00
_cell_angle_gamma 90.00
_space_group_name_H-M_alt 'P 4/m m m'
_space_group_IT_number 123
_space_group_name_Hall '-P 4 2'
loop_
_atom_site_label
_atom_site_type_symbol
_atom_site_fract_x
_atom_site_fract_y
_atom_site_fract_z
_atom_site_occupancy
Tm1 Tm 0.000 0.000 0.000 1
Tm2 Tm 0.500 0.500 0.500 1
Th1 Th 0.000 0.000 0.500 1
Tl1 Tl 0.000 0.500 0.225 1
```

Principal peaks in the range 5 to 70 degrees two-theta, by angle:
17.1 deg, intensity 7.3, (1 0 0)
26.9 deg, intensity 12.4, (1 1 1)
28.7 deg, intensity 4.3, (1 0 2)
33.6 deg, intensity 100.0, (1 1 2)
34.6 deg, intensity 53.9, (2 0 0)
46.8 deg, intensity 8.4, (0 0 4)
49.7 deg, intensity 24.8, (2 2 0)
59.5 deg, intensity 16.9, (2 0 4)
61.3 deg, intensity 36.4, (3 1 2)
65.3 deg, intensity 5.5, (1 1 5)

4.
Calculated powder XRD pattern of BeSi5 for λ = 1.5418 Å (Cu Kα), from DFT lattice parameters and positions (PBE).
Lines closer than 0.1° are merged.

Cell and atoms:
```
data_BeSi5
_cell_length_a 10.437
_cell_length_b 2.548
_cell_length_c 6.455
_cell_angle_alpha 90.00
_cell_angle_beta 105.86
_cell_angle_gamma 90.00
_space_group_name_H-M_alt 'C 1 2/m 1'
_space_group_IT_number 12
loop_
_space_group_symop_operation_xyz
'x,y,z'
'-x,-y,-z'
'-x,y,-z'
'x,-y,z'
'x+1/2,y+1/2,z'
'-x+1/2,-y+1/2,-z'
'-x+1/2,y+1/2,-z'
'x+1/2,-y+1/2,z'
loop_
_atom_site_label
_atom_site_type_symbol
_atom_site_fract_x
_atom_site_fract_y
_atom_site_fract_z
_atom_site_occupancy
Be1 Be 0.000 0.000 0.000 1
Si1 Si 0.000 0.000 0.500 1
Si2 Si 0.152 0.500 0.848 1
Si3 Si 0.155 0.500 0.297 1
```

Principal peaks in the range 5 to 70 degrees two-theta, by angle:
25.7 deg, intensity 13.6, (2 0 1)
35.8 deg, intensity 12.1, (4 0 0)
38.0 deg, intensity 74.1, (2 0 2)
38.3 deg, intensity 11.7, (1 1 -1)
39.5 deg, intensity 67.0, (4 0 -2)
42.4 deg, intensity 15.3, (2 0 -3)
44.7 deg, intensity 100.0, (3 1 0)
45.4 deg, intensity 91.7, (1 1 -2)
54.9 deg, intensity 23.1, (6 0 0)
57.1 deg, intensity 17.8, (2 0 -4)

5.
Calculated powder XRD pattern of La2Ni5Ir5 for λ = 1.5418 Å (Cu Kα), from DFT lattice parameters and positions (PBE).
Lines closer than 0.1° are merged.

Cell and atoms:
```
data_La2Ni5Ir5
_cell_length_a 4.068
_cell_length_b 5.300
_cell_length_c 9.003
_cell_angle_alpha 90.00
_cell_angle_beta 90.00
_cell_angle_gamma 90.00
_space_group_name_H-M_alt 'P m m m'
_space_group_IT_number 47
loop_
_space_group_symop_operation_xyz
'x,y,z'
'-x,-y,-z'
'-x,-y,z'
'x,y,-z'
'x,-y,-z'
'-x,y,z'
'-x,y,-z'
'x,-y,z'
loop_
_atom_site_label
_atom_site_type_symbol
_atom_site_fract_x
_atom_site_fract_y
_atom_site_fract_z
_atom_site_occupancy
La1 La 0.000 0.000 0.000 1
La2 La 0.000 0.500 0.500 1
Ni1 Ni 0.000 0.000 0.332 1
Ni2 Ni 0.000 0.500 0.156 1
Ni3 Ni 0.500 0.500 0.000 1
Ir1 Ir 0.500 0.000 0.500 1
Ir2 Ir 0.500 0.254 0.247 1
```

Principal peaks in the range 5 to 70 degrees two-theta, by angle:
29.4 deg, intensity 49.4, (1 1 1)
29.6 deg, intensity 67.9, (1 0 2)
39.5 deg, intensity 100.0, (0 2 2)
40.1 deg, intensity 45.1, (0 0 4)
40.6 deg, intensity 72.7, (1 2 0)
41.1 deg, intensity 80.7, (1 1 3)
44.6 deg, intensity 62.2, (2 0 0)
45.6 deg, intensity 71.6, (1 2 2)
46.1 deg, intensity 37.4, (1 0 4)
61.0 deg, intensity 56.6, (2 2 2)

6.
Calculated powder XRD pattern of Ru for λ = 1.5418 Å (Cu Kα), from DFT lattice parameters and positions (PBE).
Lines closer than 0.1° are merged.

Cell and atoms:
```
data_Ru
_cell_length_a 2.7358
_cell_length_b 2.7358
_cell_length_c 4.2858
_cell_angle_alpha 90.00
_cell_angle_beta 90.00
_cell_angle_gamma 120.00
_space_group_name_H-M_alt 'P 63/m m c'
_space_group_IT_number 194
_space_group_name_Hall '-P 6c 2c'
loop_
_atom_site_label
_atom_site_type_symbol
_atom_site_fract_x
_atom_site_fract_y
_atom_site_fract_z
_atom_site_occupancy
Ru1 Ru 0.3333 0.6667 0.2500 1
```

Principal peaks in the range 5 to 70 degrees two-theta, by angle:
38.0 deg, intensity 24.9, (1 0 0)
42.2 deg, intensity 24.6, (0 0 2)
43.7 deg, intensity 100.0, (1 0 1)
58.0 deg, intensity 14.1, (1 0 2)
68.6 deg, intensity 16.8, (1 1 0)

7.
Calculated powder XRD pattern of TbPm2Zn9 for λ = 1.5418 Å (Cu Kα), from DFT lattice parameters and positions (PBE).
Lines closer than 0.1° are merged.

Cell and atoms:
```
data_TbPm2Zn9
_cell_length_a 5.4827
_cell_length_b 5.4827
_cell_length_c 26.1195
_cell_angle_alpha 90.00
_cell_angle_beta 90.00
_cell_angle_gamma 120.00
_space_group_name_H-M_alt 'R -3 m'
_space_group_IT_number 166
_space_group_name_Hall '-R 3 2"'
loop_
_atom_site_label
_atom_site_type_symbol
_atom_site_fract_x
_atom_site_fract_y
_atom_site_fract_z
_atom_site_occupancy
Tb1 Tb 0.0000 0.0000 0.0000 1
Pm1 Pm 0.0000 0.0000 0.1401 1
Zn1 Zn 0.0000 0.0000 0.3347 1
Zn2 Zn 0.0000 0.0000 0.5000 1
Zn3 Zn 0.0042 0.5021 0.9192 1
```

Principal peaks in the range 5 to 70 degrees two-theta, by angle:
30.5 deg, intensity 38.6, (1 0 7)
32.7 deg, intensity 48.3, (1 1 0)
33.3 deg, intensity 37.4, (0 1 8)
38.1 deg, intensity 38.6, (0 2 1)
38.8 deg, intensity 100.0, (1 1 6)
41.8 deg, intensity 15.9, (2 0 5)
56.9 deg, intensity 13.8, (2 1 7)
62.4 deg, intensity 23.9, (3 0 6)
63.4 deg, intensity 14.3, (2 0 14)
68.4 deg, intensity 23.6, (2 2 0)

8.
Calculated powder XRD pattern of BaH6Pd3 for λ = 1.5418 Å (Cu Kα), from DFT lattice parameters and positions (PBE).
Lines closer than 0.1° are merged.

Cell and atoms:
```
data_BaH6Pd3
_cell_length_a 5.021
_cell_length_b 5.026
_cell_length_c 6.252
_cell_angle_alpha 113.52
_cell_angle_beta 90.08
_cell_angle_gamma 119.97
_space_group_name_H-M_alt 'P 1'
_space_group_IT_number 1
loop_
_space_group_symop_operation_xyz
'x,y,z'
loop_
_atom_site_label
_atom_site_type_symbol
_atom_site_fract_x
_atom_site_fract_y
_atom_site_fract_z
_atom_site_occupancy
Ba1 Ba 0.000 0.000 0.000 1
H1 H 0.080 0.679 0.224 1
H2 H 0.206 0.747 0.589 1
H3 H 0.542 0.382 0.589 1
H4 H 0.544 0.624 0.225 1
H5 H 0.600 0.144 0.224 1
H6 H 0.843 0.045 0.587 1
Pd1 Pd 0.196 0.390 0.585 1
Pd2 Pd 0.471 0.941 0.413 1
Pd3 Pd 0.800 0.598 0.398 1
```

Principal peaks in the range 5 to 70 degrees two-theta, by angle:
16.0 deg, intensity 32.2, (0 0 1)
21.1 deg, intensity 16.5, (1 -1 0)
29.7 deg, intensity 62.7, (1 0 1)
32.3 deg, intensity 16.7, (0 0 2)
33.9 deg, intensity 31.4, (0 1 1)
34.0 deg, intensity 15.6, (1 -1 2)
35.7 deg, intensity 100.0, (2 -1 0)
48.9 deg, intensity 15.9, (-1 2 1)
49.0 deg, intensity 16.0, (1 1 -3)
64.2 deg, intensity 18.1, (3 0 -1)